Entry 1:
# Mg14NbCd
Calculated X-ray diffraction stick pattern, Cu Ka. Input: a crystal structure in Alexandria, relaxed with GGA-PBE.
Lines closer than 0.1° are merged.

Structural model:
```
data_Mg14NbCd
_cell_length_a 6.304
_cell_length_b 6.304
_cell_length_c 10.168
_cell_angle_alpha 90.00
_cell_angle_beta 90.00
_cell_angle_gamma 120.00
_space_group_name_H-M_alt 'P 1'
_space_group_IT_number 1
loop_
_space_group_symop_operation_xyz
'x,y,z'
loop_
_atom_site_label
_atom_site_fract_x
_atom_site_fract_y
_atom_site_fract_z
Mg1 0.000 0.000 0.246
Mg2 0.000 0.000 0.754
Mg3 0.011 0.506 0.244
Mg4 0.011 0.506 0.756
Mg5 0.333 0.167 0.500
Mg6 0.336 0.168 0.000
Mg7 0.494 0.506 0.244
Mg8 0.494 0.506 0.756
Mg9 0.494 0.989 0.244
Mg10 0.494 0.989 0.756
Mg11 0.832 0.168 0.000
Mg12 0.832 0.664 0.000
Mg13 0.833 0.167 0.500
Mg14 0.833 0.667 0.500
Nb1 0.333 0.667 0.000
Cd1 0.333 0.667 0.500
```

Main lines, in order of falling intensity (2θ from 15° to 90°):
2.405 Å, rel. 100; 5.459 Å, rel. 44; 3.720 Å, rel. 30; 2.730 Å, rel. 29; 2.542 Å, rel. 25; 1.339 Å, rel. 19; 1.440 Å, rel. 18; 1.860 Å, rel. 18; 1.576 Å, rel. 17; 2.679 Å, rel. 14

=====

Entry 2:
# NdMg8Cd4
Calculated X-ray diffraction stick pattern, Cu Ka. Input: a crystal structure in Alexandria, relaxed with GGA-PBE.
Lines closer than 0.1° are merged.

Structural model:
```
data_NdMg8Cd4
_cell_length_a 7.691
_cell_length_b 7.691
_cell_length_c 7.691
_cell_angle_alpha 98.58
_cell_angle_beta 98.58
_cell_angle_gamma 134.56
_space_group_name_H-M_alt 'P 1'
_space_group_IT_number 1
loop_
_space_group_symop_operation_xyz
'x,y,z'
loop_
_atom_site_label
_atom_site_fract_x
_atom_site_fract_y
_atom_site_fract_z
Nd1 0.000 0.000 0.000
Mg1 0.000 0.350 0.350
Mg2 0.000 0.650 0.650
Mg3 0.287 0.500 0.787
Mg4 0.350 0.000 0.350
Mg5 0.500 0.287 0.787
Mg6 0.500 0.713 0.213
Mg7 0.650 0.000 0.650
Mg8 0.713 0.500 0.213
Cd1 0.000 0.000 0.500
Cd2 0.000 0.500 0.000
Cd3 0.500 0.000 0.000
Cd4 0.500 0.500 0.500
```

Main lines, in order of falling intensity (2θ from 15° to 90°):
2.556 Å, rel. 100; 3.547 Å, rel. 66; 2.508 Å, rel. 55; 5.016 Å, rel. 50; 1.790 Å, rel. 46; 2.277 Å, rel. 33; 2.520 Å, rel. 30; 2.243 Å, rel. 25; 1.457 Å, rel. 22; 3.580 Å, rel. 20

=====

Entry 3:
# Nd3Mg2Cd
Calculated X-ray diffraction stick pattern, Cu Ka. Input: a crystal structure in Alexandria, relaxed with GGA-PBE.
Lines closer than 0.1° are merged.

Structural model:
```
data_Nd3Mg2Cd
_cell_length_a 3.881
_cell_length_b 3.881
_cell_length_c 11.607
_cell_angle_alpha 90.00
_cell_angle_beta 90.00
_cell_angle_gamma 90.00
_space_group_name_H-M_alt 'P 1'
_space_group_IT_number 1
loop_
_space_group_symop_operation_xyz
'x,y,z'
loop_
_atom_site_label
_atom_site_fract_x
_atom_site_fract_y
_atom_site_fract_z
Nd1 0.000 0.000 0.000
Nd2 0.000 0.000 0.334
Nd3 0.000 0.000 0.666
Mg1 0.500 0.500 0.165
Mg2 0.500 0.500 0.835
Cd1 0.500 0.500 0.500
```

Main lines, in order of falling intensity (2θ from 15° to 90°):
2.741 Å, rel. 100; 1.583 Å, rel. 37; 3.877 Å, rel. 24; 1.941 Å, rel. 12; 1.227 Å, rel. 11; 1.370 Å, rel. 8; 2.238 Å, rel. 7; 1.735 Å, rel. 7; 1.935 Å, rel. 6; 1.224 Å, rel. 5